LaZnPd: theoretical powder diffraction line list (Cu Ka), based on a DFT-relaxed cell (GGA-PBE, the Materials Project).
Intensities are scaled so that the largest is 100.

Structure:
```
data_LaZnPd
_cell_length_a 7.272
_cell_length_b 4.442
_cell_length_c 8.212
_cell_angle_alpha 90.00
_cell_angle_beta 90.00
_cell_angle_gamma 90.00
_space_group_name_H-M_alt 'P n m a'
_space_group_IT_number 62
_space_group_name_Hall '-P 2ac 2n'
loop_
_atom_site_label
_atom_site_fract_x
_atom_site_fract_y
_atom_site_fract_z
La1 0.032 0.250 0.196
Zn1 0.154 0.250 0.571
Pd1 0.229 0.750 0.393
```

Peak list (10 most intense, 15 to 90 degrees two-theta, by angle)
(hkl), Position (°2θ), d_spacing, I/Imax
1 1 2, 32.14, 2.785, 51
2 0 2, 32.90, 2.722, 27
2 1 1, 33.67, 2.662, 100
1 0 3, 35.03, 2.562, 17
0 1 3, 38.63, 2.331, 52
3 0 1, 38.73, 2.325, 16
0 2 0, 40.62, 2.221, 50
3 0 2, 43.35, 2.087, 17
3 1 4, 62.91, 1.477, 16
3 1 5, 72.76, 1.300, 17

***

La6Zn4Pd13: theoretical powder diffraction line list (Cu Ka), based on a DFT-relaxed cell (GGA-PBE, the Materials Project).
Intensities are scaled so that the largest is 100.

Structure:
```
data_La6Zn4Pd13
_cell_length_a 9.786
_cell_length_b 9.786
_cell_length_c 9.786
_cell_angle_alpha 90.00
_cell_angle_beta 90.00
_cell_angle_gamma 90.00
_space_group_name_H-M_alt 'I m -3 m'
_space_group_IT_number 229
_space_group_name_Hall '-I 4 2 3'
loop_
_atom_site_label
_atom_site_fract_x
_atom_site_fract_y
_atom_site_fract_z
La1 0.000 0.000 0.304
Zn1 0.250 0.250 0.250
Pd1 0.000 0.000 0.000
Pd2 0.000 0.330 0.330
```

Peak list (10 most intense, 15 to 90 degrees two-theta, by angle)
(hkl), Position (°2θ), d_spacing, I/Imax
3 1 0, 28.85, 3.094, 28
3 2 1, 34.29, 2.615, 10
4 0 0, 36.74, 2.446, 14
3 3 0, 39.05, 2.306, 100
4 3 3, 54.69, 1.678, 9
6 0 0, 56.42, 1.631, 11
5 3 2, 58.11, 1.587, 7
6 2 2, 63.01, 1.475, 7
6 3 3, 70.75, 1.332, 30
6 6 0, 83.90, 1.153, 11

***

La3Zn4Pd4: theoretical powder diffraction line list (Cu Ka), based on a DFT-relaxed cell (GGA-PBE, the Materials Project).
Intensities are scaled so that the largest is 100.

Structure:
```
data_La3Zn4Pd4
_cell_length_a 4.216
_cell_length_b 7.537
_cell_length_c 14.527
_cell_angle_alpha 90.00
_cell_angle_beta 90.00
_cell_angle_gamma 90.00
_space_group_name_H-M_alt 'I m m m'
_space_group_IT_number 71
_space_group_name_Hall '-I 2 2'
loop_
_atom_site_label
_atom_site_fract_x
_atom_site_fract_y
_atom_site_fract_z
La1 0.000 0.000 0.000
La2 0.000 0.500 0.130
Zn1 0.000 0.309 0.327
Pd1 0.000 0.000 0.216
Pd2 0.000 0.196 0.500
```

Peak list (10 most intense, 15 to 90 degrees two-theta, by angle)
(hkl), Position (°2θ), d_spacing, I/Imax
1 2 1, 32.46, 2.759, 100
0 1 5, 33.04, 2.711, 27
1 1 4, 34.71, 2.585, 89
0 0 6, 37.13, 2.421, 17
0 3 3, 40.45, 2.230, 29
2 0 0, 42.90, 2.108, 36
1 3 2, 43.76, 2.069, 15
1 2 5, 44.88, 2.020, 22
2 3 3, 60.43, 1.532, 17
1 5 4, 71.34, 1.322, 18

***

LaPmTl2: theoretical powder diffraction line list (Cu Ka), based on a DFT-relaxed cell (GGA-PBE, the Materials Project).
Intensities are scaled so that the largest is 100.

Structure:
```
data_LaPmTl2
_cell_length_a 7.895
_cell_length_b 7.895
_cell_length_c 7.895
_cell_angle_alpha 90.00
_cell_angle_beta 90.00
_cell_angle_gamma 90.00
_space_group_name_H-M_alt 'F m -3 m'
_space_group_IT_number 225
_space_group_name_Hall '-F 4 2 3'
loop_
_atom_site_label
_atom_site_fract_x
_atom_site_fract_y
_atom_site_fract_z
La1 0.000 0.000 0.000
Pm1 0.000 0.000 0.500
Tl1 0.250 0.250 0.250
```

Peak list (10 most intense, 15 to 90 degrees two-theta, by angle)
(hkl), Position (°2θ), d_spacing, I/Imax
2 0 0, 22.52, 3.948, 3
2 2 0, 32.06, 2.791, 100
2 2 2, 39.54, 2.279, 1
4 0 0, 45.98, 1.974, 19
4 2 0, 51.78, 1.765, 2
4 2 2, 57.16, 1.612, 39
4 4 0, 67.06, 1.396, 12
6 0 0, 71.73, 1.316, 1
6 2 0, 76.28, 1.248, 17
4 4 4, 85.14, 1.140, 4

***

LaPmZn2: theoretical powder diffraction line list (Cu Ka), based on a DFT-relaxed cell (GGA-PBE, the Materials Project).
Intensities are scaled so that the largest is 100.

Structure:
```
data_LaPmZn2
_cell_length_a 7.434
_cell_length_b 7.434
_cell_length_c 7.434
_cell_angle_alpha 90.00
_cell_angle_beta 90.00
_cell_angle_gamma 90.00
_space_group_name_H-M_alt 'F m -3 m'
_space_group_IT_number 225
_space_group_name_Hall '-F 4 2 3'
loop_
_atom_site_label
_atom_site_fract_x
_atom_site_fract_y
_atom_site_fract_z
La1 0.000 0.000 0.000
Pm1 0.000 0.000 0.500
Zn1 0.250 0.250 0.250
```

Peak list (10 most intense, 15 to 90 degrees two-theta, by angle)
(hkl), Position (°2θ), d_spacing, I/Imax
2 0 0, 23.94, 3.717, 13
2 2 0, 34.11, 2.628, 100
2 2 2, 42.10, 2.146, 4
4 0 0, 49.01, 1.859, 18
4 2 0, 55.26, 1.662, 6
4 2 2, 61.06, 1.518, 36
4 4 0, 71.83, 1.314, 11
6 0 0, 76.95, 1.239, 3
6 2 0, 81.97, 1.175, 15
6 2 2, 86.92, 1.121, 2

***

LaPr3: theoretical powder diffraction line list (Cu Ka), based on a DFT-relaxed cell (GGA-PBE, the Materials Project).
Intensities are scaled so that the largest is 100.

Structure:
```
data_LaPr3
_cell_length_a 5.290
_cell_length_b 5.290
_cell_length_c 10.545
_cell_angle_alpha 90.00
_cell_angle_beta 90.00
_cell_angle_gamma 90.00
_space_group_name_H-M_alt 'I 4/m m m'
_space_group_IT_number 139
_space_group_name_Hall '-I 4 2'
loop_
_atom_site_label
_atom_site_fract_x
_atom_site_fract_y
_atom_site_fract_z
La1 0.000 0.000 0.000
Pr1 0.000 0.000 0.500
Pr2 0.000 0.500 0.250
```

Peak list (10 most intense, 15 to 90 degrees two-theta, by angle)
(hkl), Position (°2θ), d_spacing, I/Imax
1 1 2, 29.27, 3.051, 100
2 0 0, 33.89, 2.645, 34
0 0 4, 34.01, 2.636, 17
2 2 0, 48.74, 1.868, 37
3 1 2, 57.83, 1.595, 29
1 1 6, 57.98, 1.591, 14
2 2 4, 60.71, 1.525, 13
3 3 2, 78.89, 1.213, 6
3 1 6, 79.02, 1.212, 12
4 2 0, 81.38, 1.183, 11

***

LaPr3: theoretical powder diffraction line list (Cu Ka), based on a DFT-relaxed cell (GGA-PBE, the Materials Project).
Intensities are scaled so that the largest is 100.

Structure:
```
data_LaPr3
_cell_length_a 5.293
_cell_length_b 5.293
_cell_length_c 5.293
_cell_angle_alpha 90.00
_cell_angle_beta 90.00
_cell_angle_gamma 90.00
_space_group_name_H-M_alt 'P m -3 m'
_space_group_IT_number 221
_space_group_name_Hall '-P 4 2 3'
loop_
_atom_site_label
_atom_site_fract_x
_atom_site_fract_y
_atom_site_fract_z
La1 0.000 0.000 0.000
Pr1 0.000 0.500 0.500
```

Peak list (8 most intense, 15 to 90 degrees two-theta, by angle)
(hkl), Position (°2θ), d_spacing, I/Imax
1 1 1, 29.22, 3.056, 100
2 0 0, 33.87, 2.646, 51
2 2 0, 48.66, 1.871, 37
3 1 1, 57.77, 1.596, 44
2 2 2, 60.60, 1.528, 13
4 0 0, 71.27, 1.323, 6
3 3 1, 78.82, 1.214, 18
4 2 0, 81.29, 1.184, 16

***

LaPrZn2: theoretical powder diffraction line list (Cu Ka), based on a DFT-relaxed cell (GGA-PBE, the Materials Project).
Intensities are scaled so that the largest is 100.

Structure:
```
data_LaPrZn2
_cell_length_a 7.473
_cell_length_b 7.473
_cell_length_c 7.473
_cell_angle_alpha 90.00
_cell_angle_beta 90.00
_cell_angle_gamma 90.00
_space_group_name_H-M_alt 'F m -3 m'
_space_group_IT_number 225
_space_group_name_Hall '-F 4 2 3'
loop_
_atom_site_label
_atom_site_fract_x
_atom_site_fract_y
_atom_site_fract_z
La1 0.000 0.000 0.000
Pr1 0.000 0.000 0.500
Zn1 0.250 0.250 0.250
```

Peak list (10 most intense, 15 to 90 degrees two-theta, by angle)
(hkl), Position (°2θ), d_spacing, I/Imax
2 0 0, 23.81, 3.736, 13
2 2 0, 33.93, 2.642, 100
2 2 2, 41.88, 2.157, 4
4 0 0, 48.74, 1.868, 18
4 2 0, 54.95, 1.671, 5
4 2 2, 60.72, 1.525, 36
4 4 0, 71.41, 1.321, 11
6 0 0, 76.49, 1.245, 3
6 2 0, 81.46, 1.182, 15
6 2 2, 86.36, 1.127, 2

***

La3Pt4: theoretical powder diffraction line list (Cu Ka), based on a DFT-relaxed cell (GGA-PBE, the Materials Project).
Intensities are scaled so that the largest is 100.

Structure:
```
data_La3Pt4
_cell_length_a 13.9212
_cell_length_b 13.9212
_cell_length_c 5.8680
_cell_angle_alpha 90.00
_cell_angle_beta 90.00
_cell_angle_gamma 120.00
_space_group_name_H-M_alt 'R -3'
_space_group_IT_number 148
_space_group_name_Hall '-R 3'
loop_
_atom_site_label
_atom_site_fract_x
_atom_site_fract_y
_atom_site_fract_z
La1 0.0428 0.2093 0.2388
Pt1 0.0000 0.0000 0.0000
Pt2 0.0000 0.0000 0.5000
Pt3 0.0556 0.2747 0.7221
```

Peak list (10 most intense, 15 to 90 degrees two-theta, by angle)
(hkl), Position (°2θ), d_spacing, I/Imax
4 -3 1, 30.78, 2.905, 22
1 4 0, 34.07, 2.632, 100
3 2 1, 35.89, 2.502, 19
3 -2 2, 36.42, 2.467, 64
3 1 2, 40.92, 2.205, 20
5 -3 2, 45.05, 2.013, 8
7 -3 1, 48.48, 1.878, 10
4 2 2, 50.73, 1.800, 14
9 -4 1, 62.18, 1.493, 10
0 7 2, 62.53, 1.485, 11

***

La7Pt3: theoretical powder diffraction line list (Cu Ka), based on a DFT-relaxed cell (GGA-PBE, the Materials Project).
Intensities are scaled so that the largest is 100.

Structure:
```
data_La7Pt3
_cell_length_a 10.3568
_cell_length_b 10.3568
_cell_length_c 6.6229
_cell_angle_alpha 90.00
_cell_angle_beta 90.00
_cell_angle_gamma 120.00
_space_group_name_H-M_alt 'P 63 m c'
_space_group_IT_number 186
_space_group_name_Hall 'P 6c -2c'
loop_
_atom_site_label
_atom_site_fract_x
_atom_site_fract_y
_atom_site_fract_z
La1 0.0765 0.5383 0.0000
La2 0.1258 0.2517 0.6870
La3 0.3333 0.6667 0.4755
Pt1 0.1883 0.3766 0.2475
```

Peak list (10 most intense, 15 to 90 degrees two-theta, by angle)
(hkl), Position (°2θ), d_spacing, I/Imax
1 0 1, 16.64, 5.328, 40
1 0 2, 28.74, 3.106, 47
2 1 1, 29.60, 3.018, 100
3 0 0, 29.89, 2.990, 31
3 0 1, 32.87, 2.725, 86
2 0 2, 33.64, 2.664, 83
2 2 0, 34.64, 2.589, 80
2 1 2, 37.98, 2.369, 34
3 2 1, 46.20, 1.965, 31
3 0 3, 51.45, 1.776, 36

***

La3Pt2: theoretical powder diffraction line list (Cu Ka), based on a DFT-relaxed cell (GGA-PBE, the Materials Project).
Intensities are scaled so that the largest is 100.

Structure:
```
data_La3Pt2
_cell_length_a 9.2282
_cell_length_b 9.2282
_cell_length_c 17.3103
_cell_angle_alpha 90.00
_cell_angle_beta 90.00
_cell_angle_gamma 120.00
_space_group_name_H-M_alt 'R -3'
_space_group_IT_number 148
_space_group_name_Hall '-R 3'
loop_
_atom_site_label
_atom_site_fract_x
_atom_site_fract_y
_atom_site_fract_z
La1 0.0000 0.0000 0.0000
La2 0.0000 0.0000 0.2013
La3 0.0186 0.2618 0.5913
Pt1 0.0194 0.6120 0.5711
```

Peak list (10 most intense, 15 to 90 degrees two-theta, by angle)
(hkl), Position (°2θ), d_spacing, I/Imax
1 1 0, 19.24, 4.614, 22
2 1 1, 30.03, 2.976, 42
0 0 6, 31.00, 2.885, 45
1 2 2, 31.37, 2.852, 100
3 0 0, 33.64, 2.664, 73
3 -1 4, 36.27, 2.477, 70
1 1 6, 36.74, 2.446, 75
4 -3 1, 41.05, 2.199, 26
4 -1 5, 48.78, 1.867, 22
3 -2 8, 51.99, 1.759, 20

***

LaPt3: theoretical powder diffraction line list (Cu Ka), based on a DFT-relaxed cell (GGA-PBE, the Materials Project).
Intensities are scaled so that the largest is 100.

Structure:
```
data_LaPt3
_cell_length_a 4.238
_cell_length_b 4.238
_cell_length_c 4.238
_cell_angle_alpha 90.00
_cell_angle_beta 90.00
_cell_angle_gamma 90.00
_space_group_name_H-M_alt 'P m -3 m'
_space_group_IT_number 221
_space_group_name_Hall '-P 4 2 3'
loop_
_atom_site_label
_atom_site_fract_x
_atom_site_fract_y
_atom_site_fract_z
La1 0.000 0.000 0.000
Pt1 0.000 0.500 0.500
```

Peak list (9 most intense, 15 to 90 degrees two-theta, by angle)
(hkl), Position (°2θ), d_spacing, I/Imax
1 0 0, 20.96, 4.238, 2
1 1 0, 29.81, 2.997, 2
1 1 1, 36.73, 2.447, 100
2 0 0, 42.67, 2.119, 50
2 1 0, 48.00, 1.895, 1
2 1 1, 52.92, 1.730, 1
2 2 0, 61.93, 1.498, 33
3 1 1, 74.21, 1.278, 39
2 2 2, 78.12, 1.223, 11